# 1
For Cs4TlSbCl12, a cell relaxed with PBE gives the computed powder X-ray diffraction pattern in this record (Cu Kα (weighted mean of Kα1 and Kα2)).

Cell and atoms:
a b c (Å): 13.1544 13.1544 13.1544
angles (deg): 131.09 131.09 71.67
Positions (direct):
Cs 0.0000 0.2163 0.2163
Cs 0.0000 0.7837 0.7837
Cs 0.2163 0.0000 0.7163
Cs 0.2163 0.5000 0.2163
Cs 0.5000 0.2163 0.7163
Cs 0.5000 0.7837 0.2837
Cs 0.7837 0.0000 0.2837
Cs 0.7837 0.5000 0.7837
Tl 0.1250 0.8750 0.2500
Tl 0.8750 0.1250 0.7500
Sb 0.3750 0.6250 0.7500
Sb 0.6250 0.3750 0.2500
Cl 0.0008 0.7508 0.2500
Cl 0.1206 0.1284 0.9921
Cl 0.1284 0.1206 0.4921
Cl 0.1284 0.6363 0.0079
Cl 0.1521 0.6242 0.5279
Cl 0.2492 0.9992 0.2500
Cl 0.2620 0.5120 0.7500
Cl 0.3637 0.8716 0.4921
Cl 0.3758 0.4036 0.5279
Cl 0.3758 0.8479 0.9721
Cl 0.4036 0.3758 0.0279
Cl 0.4880 0.7380 0.7500
Cl 0.5120 0.2620 0.2500
Cl 0.5964 0.6242 0.9721
Cl 0.6242 0.1521 0.0279
Cl 0.6242 0.5964 0.4721
Cl 0.6363 0.1284 0.5079
Cl 0.7380 0.4880 0.2500
Cl 0.7508 0.0008 0.7500
Cl 0.8479 0.3758 0.4721
Cl 0.8716 0.3637 0.9921
Cl 0.8716 0.8794 0.5079
Cl 0.8794 0.8716 0.0079
Cl 0.9992 0.2492 0.7500

Most intense lines, 2θ = 10–90°, low angle first:
| 2theta | I_rel |
| --- | --- |
| 14.2 | 94 |
| 23.1 | 48 |
| 23.3 | 100 |
| 27.2 | 27 |
| 27.6 | 22 |
| 28.6 | 46 |
| 32.9 | 62 |
| 33.6 | 34 |
| 40.7 | 34 |
| 41.2 | 21 |
| 47.2 | 18 |
| 47.7 | 40 |


# 2
For KReGeO6, a cell relaxed with PBE gives the computed powder X-ray diffraction pattern in this record (Cu Kα (weighted mean of Kα1 and Kα2)).

Cell and atoms:
a b c (Å): 5.1589 5.1589 6.0050
angles (deg): 90.00 90.00 120.00
Positions (direct):
K 0.0000 0.0000 0.0000
Re 0.3333 0.6667 0.5084
Ge 0.6667 0.3333 0.4640
O 0.0101 0.6037 0.3062
O 0.3917 0.0016 0.6663
O 0.3963 0.4063 0.3062
O 0.5937 0.9899 0.3062
O 0.6099 0.6083 0.6663
O 0.9984 0.3901 0.6663

Most intense lines, 2θ = 10–90°, low angle first:
| 2theta | I_rel |
| --- | --- |
| 14.8 | 92 |
| 19.9 | 42 |
| 24.8 | 100 |
| 34.8 | 33 |
| 36.0 | 15 |
| 38.0 | 35 |
| 43.2 | 17 |
| 46.4 | 46 |
| 49.9 | 13 |
| 56.6 | 19 |
| 62.3 | 21 |
| 73.4 | 14 |